[1]
For SrAuI6, a structure optimized by DFT (PBE) gives the simulated X-ray powder pattern in this record (Cu Ka).
Kinematic intensities with the Lorentz-polarization factor, no thermal factor.

Peak list (10 most intense, 10° ≤ 2θ ≤ 90°, in order of rising 2θ)
hkl  two_theta  I (rel.)
1 0 0  14.4  19
1 0 -1  21.1  100
0 0 2  23.3  25
1 1 -1  24.7  27
2 0 1  27.8  27
0 2 -1  29.4  43
1 -2 0  31.0  55
1 1 3  35.0  24
2 0 -2  43.0  19
-2 2 1  44.9  20

abc: 6.4901 6.8771 8.0379
angles: 84.47 71.95 83.94
Space group P-1 (No. 2)
Symmetry-distinct sites (fractional):
Sr1 0.0000 0.0000 0.0000 x1
Au1 0.0000 0.5000 0.5000 x1
I1 0.1835 0.1479 0.5741 x2
I2 0.1914 0.6301 0.7176 x2
I3 0.4918 0.7568 0.0053 x2

[2]
For Er2B6Ir9, a structure optimized by DFT (PBE) gives the simulated X-ray powder pattern in this record (Cu Ka).
Kinematic intensities with the Lorentz-polarization factor, no thermal factor.

Peak list (10 most intense, 10° ≤ 2θ ≤ 90°, in order of rising 2θ)
hkl  two_theta  I (rel.)
0 0 3  31.0  25
1 0 3  36.2  33
2 0 0  36.8  100
1 1 3  45.0  21
2 0 3  48.9  48
2 1 3  59.5  16
2 2 0  66.3  21
2 2 3  75.0  13
2 0 6  76.8  18
4 0 0  78.3  12

abc: 5.6411 5.6411 8.6459
angles: 90.00 90.00 120.00
Space group P6/mmm (No. 191)
Symmetry-distinct sites (fractional):
Er1 0.0000 0.0000 0.2026 x2
B1 0.3333 0.6667 0.1674 x4
B2 0.3333 0.6667 0.5000 x2
Ir1 0.0000 0.5000 0.0000 x3
Ir2 0.0000 0.5000 0.3356 x6